Diffraction record for MoSeCl7O. The X-ray powder pattern is theoretical, not measured: it uses DFT lattice parameters and positions (PBE+U) and copper Kα.
Peak positions follow from Bragg's law for the DFT cell and can differ from measured ones.

Cell and atoms:
abc: 8.1304 8.7158 10.3594
angles: 89.19 67.56 71.27
Positions (direct):
Mo1 0.1893 0.1589 0.1019
Mo2 0.8107 0.8411 0.8981
Se1 0.4840 0.7546 0.2771
Se2 0.5160 0.2454 0.7229
Cl1 0.1271 0.2766 0.3245
Cl2 0.1732 0.9069 0.1970
Cl3 0.2474 0.3482 0.6960
Cl4 0.3178 0.8978 0.4875
Cl5 0.3240 0.3661 0.0077
Cl6 0.3884 0.5434 0.3193
Cl7 0.4026 0.9900 0.8763
Cl8 0.5974 0.0100 0.1237
Cl9 0.6116 0.4566 0.6807
Cl10 0.6760 0.6339 0.9923
Cl11 0.6822 0.1022 0.5125
Cl12 0.7526 0.6518 0.3040
Cl13 0.8268 0.0931 0.8030
Cl14 0.8729 0.7234 0.6755
O1 0.0198 0.7726 0.9146
O2 0.9802 0.2274 0.0854

Largest 8 diffraction maxima, low angle first, 2θ = 15–90°:
(1 -1 1), d 4.830, intensity 100.0; (1 -1 0), d 4.624, intensity 24.3; (0 1 -2), d 4.350, intensity 30.0; (2 0 2), d 3.603, intensity 39.0; (0 1 3), d 2.838, intensity 56.1; (1 3 -1), d 2.751, intensity 51.2; (3 0 2), d 2.552, intensity 29.8; (1 4 2), d 1.971, intensity 24.1